1.
This entry pairs a crystal structure of NdHoP2Rh5 with its computed powder XRD pattern. Radiation: CuKα. Structure: a PBE-relaxed structure.
Neutral-atom scattering factors, no anomalous dispersion.

Main lines, in order of falling intensity (2θ = 10–90°):
2.529 Å, 2θ = 35.50°, I 1000; 2.032 Å, 2θ = 44.60°, I 452; 3.230 Å, 2θ = 27.61°, I 275; 3.550 Å, 2θ = 25.08°, I 231; 1.249 Å, 2θ = 76.22°, I 212; 1.711 Å, 2θ = 53.55°, I 201

Cell and atoms:
a b c (Å): 4.064 4.064 10.651
angles (deg): 90.00 90.00 90.00
Space group P4/mmm (No. 123)
Symmetry-distinct sites (fractional):
Nd1 0.000 0.000 0.000 (multiplicity 1)
Ho1 0.000 0.000 0.500 (multiplicity 1)
P1 0.500 0.500 0.213 (multiplicity 2)
Rh1 0.000 0.500 0.306 (multiplicity 4)
Rh2 0.500 0.500 0.000 (multiplicity 1)

---

2.
This entry pairs a crystal structure of AlCrAg2 with its computed powder XRD pattern. Radiation: CuKα. Structure: a PBE-relaxed structure.
Neutral-atom scattering factors, no anomalous dispersion.

Main lines, in order of falling intensity (2θ = 10–90°):
2.267 Å, 2θ = 39.76°, I 1000; 2.295 Å, 2θ = 39.26°, I 510; 4.592 Å, 2θ = 19.33°, I 337; 1.319 Å, 2θ = 71.50°, I 300; 2.607 Å, 2θ = 34.40°, I 170; 1.623 Å, 2θ = 56.73°, I 158

Cell and atoms:
a b c (Å): 3.168 4.587 9.185
angles (deg): 90.00 90.00 90.00
Space group Immm (No. 71)
Symmetry-distinct sites (fractional):
Al1 0.000 0.000 0.000 (multiplicity 2)
Cr1 0.000 0.000 0.500 (multiplicity 2)
Ag1 0.000 0.500 0.262 (multiplicity 4)

---

3.
This entry pairs a crystal structure of KV2Br6 with its computed powder XRD pattern. Radiation: CuKα. Structure: a PBE-relaxed structure.
Neutral-atom scattering factors, no anomalous dispersion.

Main lines, in order of falling intensity (2θ = 10–90°):
3.072 Å, 2θ = 29.07°, I 1000; 2.491 Å, 2θ = 36.05°, I 629; 7.374 Å, 2θ = 12.00°, I 432; 1.951 Å, 2θ = 46.55°, I 272; 4.584 Å, 2θ = 19.36°, I 245; 1.988 Å, 2θ = 45.64°, I 226

Cell and atoms:
a b c (Å): 6.7586 6.7586 7.3737
angles (deg): 90.00 90.00 120.00
Space group P-31m (No. 162)
Symmetry-distinct sites (fractional):
K1 0.0000 0.0000 0.0000 (multiplicity 1)
V1 0.3333 0.6667 0.5000 (multiplicity 2)
Br1 0.0000 0.3718 0.6998 (multiplicity 6)

---

4.
This entry pairs a crystal structure of Ac2CeP3Pt12 with its computed powder XRD pattern. Radiation: CuKα. Structure: a PBE-relaxed structure.
Neutral-atom scattering factors, no anomalous dispersion.

Main lines, in order of falling intensity (2θ = 10–90°):
2.880 Å, 2θ = 31.06°, I 1000; 2.079 Å, 2θ = 43.53°, I 571; 2.622 Å, 2θ = 34.20°, I 417; 1.996 Å, 2θ = 45.44°, I 355; 1.686 Å, 2θ = 54.44°, I 161; 1.309 Å, 2θ = 72.15°, I 115

Cell and atoms:
a b c (Å): 8.3156 8.3156 19.1847
angles (deg): 90.00 90.00 120.00
Space group R-3m (No. 166, hexagonal axes)
Symmetry-distinct sites (fractional):
Ac1 0.0000 0.0000 0.1041 (multiplicity 6)
Ce1 0.0000 0.0000 0.5000 (multiplicity 3)
P1 0.0000 0.5000 0.0000 (multiplicity 9)
Pt1 0.0199 0.5099 0.8777 (multiplicity 18)
Pt2 0.0437 0.5218 0.3574 (multiplicity 18)

---

5.
This entry pairs a crystal structure of PuScTlOs with its computed powder XRD pattern. Radiation: CuKα. Structure: a PBE-relaxed structure.
Neutral-atom scattering factors, no anomalous dispersion.

Main lines, in order of falling intensity (2θ = 10–90°):
2.544 Å, 2θ = 35.27°, I 1000; 2.295 Å, 2θ = 39.26°, I 428; 1.368 Å, 2θ = 68.59°, I 296; 8.197 Å, 2θ = 10.79°, I 236; 3.018 Å, 2θ = 29.60°, I 229; 1.623 Å, 2θ = 56.73°, I 148

Cell and atoms:
a b c (Å): 3.246 3.246 8.197
angles (deg): 90.00 90.00 90.00
Space group P4mm (No. 99)
Symmetry-distinct sites (fractional):
Pu1 0.000 0.000 0.000 (multiplicity 1)
Sc1 0.000 0.000 0.590 (multiplicity 1)
Tl1 0.500 0.500 0.311 (multiplicity 1)
Os1 0.500 0.500 0.779 (multiplicity 1)

---

6.
This entry pairs a crystal structure of LiH2I with its computed powder XRD pattern. Radiation: CuKα. Structure: a PBE-relaxed structure.
Neutral-atom scattering factors, no anomalous dispersion.

Main lines, in order of falling intensity (2θ = 10–90°):
4.107 Å, 2θ = 21.64°, I 1000; 3.298 Å, 2θ = 27.04°, I 912; 3.455 Å, 2θ = 25.79°, I 804; 2.269 Å, 2θ = 39.72°, I 498; 7.662 Å, 2θ = 11.55°, I 447; 4.485 Å, 2θ = 19.80°, I 418

Cell and atoms:
a b c (Å): 4.690 15.325 4.865
angles (deg): 90.00 90.00 90.00
Space group Cmcm (No. 63)
Symmetry-distinct sites (fractional):
Li1 0.000 0.245 0.250 (multiplicity 4)
H1 0.000 0.443 0.673 (multiplicity 8)
I1 0.000 0.157 0.750 (multiplicity 4)

---

> Which formula does entry 5 have?

PuScTlOs